[1]
Structure and simulated PXRD pattern of Hf6RuPt (the GGA-PBE geometry in Alexandria; copper Kα).

Main lines, low angle first (5° ≤ 2θ ≤ 70°):
Position (°2θ)  I/Imax  h k l
35.5  100  2 2 -1
37.6  46  2 0 1
38.0  91  0 2 2
39.7  41  0 4 0
50.0  17  2 0 -3
55.8  29  2 4 1
64.9  14  4 2 0
65.7  15  2 4 -3
69.3  16  2 6 -1
69.7  16  2 2 3

Cell and atoms:
Cell: 6.3113 9.0793 5.7823 Å, 90.00 106.30 90.00°
Space group C2/m (No. 12)
Inequivalent atoms, fractional coordinates:
Hf1 0.0936 0.2420 0.2649 [8 per cell]
Hf2 0.2478 0.0000 0.9802 [4 per cell]
Ru1 0.0000 0.0000 0.5000 [2 per cell]
Pt1 0.0000 0.5000 0.5000 [2 per cell]

=====

[2]
Structure and simulated PXRD pattern of HfPtS (the GGA-PBE geometry in Alexandria; copper Kα).

Main lines, low angle first (5° ≤ 2θ ≤ 70°):
Position (°2θ)  I/Imax  h k l
7.4  100  0 0 3
14.9  5  0 0 6
30.4  20  1 0 4
33.7  52  1 0 7
38.4  4  1 0 10
40.2  13  0 1 11
46.1  20  0 1 14
50.8  17  1 1 0
51.4  6  1 1 3
62.3  9  0 2 7

Cell and atoms:
Cell: 3.5977 3.5977 35.6062 Å, 90.00 90.00 120.00°
Space group R-3m (No. 166, hexagonal axes)
Inequivalent atoms, fractional coordinates:
Hf1 0.0000 0.0000 0.0755 [6 per cell]
Pt1 0.0000 0.0000 0.3601 [6 per cell]
S1 0.0000 0.0000 0.2168 [6 per cell]

=====

[3]
Structure and simulated PXRD pattern of Hf6Pt2S (the GGA-PBE geometry in Alexandria; copper Kα).

Main lines, low angle first (5° ≤ 2θ ≤ 70°):
Position (°2θ)  I/Imax  h k l
32.0  54  1 2 0
33.0  69  0 2 2
33.4  74  1 0 -4
34.4  77  2 1 -1
34.8  39  1 1 2
35.3  37  2 1 -3
36.1  100  1 2 1
38.0  39  2 1 0
39.6  72  0 2 3
43.4  37  1 3 -1

Cell and atoms:
Cell: 5.8614 6.6865 10.7460 Å, 90.00 120.13 90.00°
Space group P2_1/c (No. 14)
Inequivalent atoms, fractional coordinates:
Hf1 0.0889 0.2079 0.4413 [4 per cell]
Hf2 0.2869 0.6598 0.4459 [4 per cell]
Hf3 0.3985 0.0316 0.2401 [4 per cell]
Pt1 0.1510 0.1151 0.7333 [4 per cell]
S1 0.5000 0.0000 0.5000 [2 per cell]

=====

[4]
Structure and simulated PXRD pattern of HfSc3Pt4 (the GGA-PBE geometry in Alexandria; copper Kα).

Main lines, low angle first (5° ≤ 2θ ≤ 70°):
Position (°2θ)  I/Imax  h k l
9.3  12  0 0 1
26.5  24  0 1 2
27.8  11  1 0 0
37.8  27  0 0 4
37.9  27  0 2 0
38.8  100  1 1 2
54.6  18  0 2 4
57.5  8  2 0 0
68.9  18  1 1 6
69.1  18  1 3 2

Cell and atoms:
Cell: 3.2077 4.7452 9.5265 Å, 90.00 90.00 90.00°
Space group Pmmm (No. 47)
Inequivalent atoms, fractional coordinates:
Hf1 0.0000 0.0000 0.0000 [1 per cell]
Sc1 0.0000 0.0000 0.5000 [1 per cell]
Sc2 0.0000 0.5000 0.2542 [2 per cell]
Pt1 0.5000 0.0000 0.2429 [2 per cell]
Pt2 0.5000 0.5000 0.0000 [1 per cell]
Pt3 0.5000 0.5000 0.5000 [1 per cell]

=====

[5]
Structure and simulated PXRD pattern of SrHfPt3 (the GGA-PBE geometry in Alexandria; copper Kα).

Main lines, low angle first (5° ≤ 2θ ≤ 70°):
Position (°2θ)  I/Imax  h k l
17.6  62  1 0 0
25.0  4  1 1 0
30.7  66  1 1 1
35.6  100  2 0 0
40.0  32  2 1 0
51.3  72  2 2 0
54.7  17  3 0 0
61.0  29  3 1 1
64.0  25  2 2 2
67.0  7  3 2 0

Cell and atoms:
Cell: 5.0369 5.0369 5.0369 Å, 90.00 90.00 90.00°
Space group Pm-3m (No. 221)
Inequivalent atoms, fractional coordinates:
Sr1 0.0000 0.0000 0.0000 [1 per cell]
Hf1 0.5000 0.5000 0.5000 [1 per cell]
Pt1 0.0000 0.5000 0.5000 [3 per cell]

=====

[6]
Structure and simulated PXRD pattern of Tb2Hf3Pt4 (the GGA-PBE geometry in Alexandria; copper Kα).

Main lines, low angle first (5° ≤ 2θ ≤ 70°):
Position (°2θ)  I/Imax  h k l
31.6  30  2 1 -2
32.4  18  1 2 1
34.0  83  1 1 2
35.4  100  2 2 -1
36.3  72  1 1 -3
36.6  11  2 2 0
39.2  53  0 3 1
40.6  22  3 0 0
42.5  15  2 0 2
61.1  12  3 3 1

Cell and atoms:
Cell: 7.1388 7.2596 7.8889 Å, 90.00 110.80 90.00°
Space group P2_1/c (No. 14)
Inequivalent atoms, fractional coordinates:
Tb1 0.1947 0.1704 0.0862 [4 per cell]
Hf1 0.2490 0.6490 0.2517 [4 per cell]
Hf2 0.5000 0.0000 0.5000 [2 per cell]
Pt1 0.0994 0.5536 0.8774 [4 per cell]
Pt2 0.4865 0.6433 0.6192 [4 per cell]

=====

[7]
Structure and simulated PXRD pattern of Tb3HfPt12 (the GGA-PBE geometry in Alexandria; copper Kα).

Main lines, low angle first (5° ≤ 2θ ≤ 70°):
Position (°2θ)  I/Imax  h k l
5.4  1  0 0 1
38.0  100  1 1 4
44.1  49  2 0 0
64.2  32  2 2 0

Cell and atoms:
Cell: 4.1035 4.1035 16.4277 Å, 90.00 90.00 90.00°
Space group P4/mmm (No. 123)
Inequivalent atoms, fractional coordinates:
Tb1 0.0000 0.0000 0.0000 [1 per cell]
Tb2 0.0000 0.0000 0.2514 [2 per cell]
Hf1 0.0000 0.0000 0.5000 [1 per cell]
Pt1 0.0000 0.5000 0.1266 [4 per cell]
Pt2 0.0000 0.5000 0.3818 [4 per cell]
Pt3 0.5000 0.5000 0.0000 [1 per cell]
Pt4 0.5000 0.5000 0.2543 [2 per cell]
Pt5 0.5000 0.5000 0.5000 [1 per cell]

=====

[8]
Structure and simulated PXRD pattern of HfUPt (the GGA-PBE geometry in Alexandria; copper Kα).

Main lines, low angle first (5° ≤ 2θ ≤ 70°):
Position (°2θ)  I/Imax  h k l
29.6  96  1 1 3
30.3  23  2 0 0
33.9  100  2 0 2
38.8  93  0 2 4
39.3  26  2 2 0
40.9  95  1 3 1
42.2  50  2 2 2
42.4  45  1 1 5
61.1  30  3 3 1
68.1  38  2 4 4

Cell and atoms:
Cell: 5.8952 7.2874 12.0338 Å, 90.00 90.00 90.00°
Space group Fmmm (No. 69)
Inequivalent atoms, fractional coordinates:
Hf1 0.2500 0.2500 0.2500 [8 per cell]
U1 0.0000 0.1658 0.0000 [8 per cell]
Pt1 0.0000 0.0000 0.3788 [8 per cell]

=====

[9]
Structure and simulated PXRD pattern of Hf2V3Pt (the GGA-PBE geometry in Alexandria; copper Kα).

Main lines, low angle first (5° ≤ 2θ ≤ 70°):
Position (°2θ)  I/Imax  h k l
20.2  31  0 0 3
24.3  14  0 1 2
33.9  14  1 0 4
35.2  70  1 1 0
39.8  50  0 1 5
40.9  100  1 1 3
43.2  19  2 0 2
59.8  16  0 1 8
66.3  22  1 2 5
67.1  21  3 0 3

Cell and atoms:
Cell: 5.0945 5.0945 13.1993 Å, 90.00 90.00 120.00°
Space group R-3m (No. 166, hexagonal axes)
Inequivalent atoms, fractional coordinates:
Hf1 0.0000 0.0000 0.1252 [6 per cell]
V1 0.0000 0.5000 0.0000 [9 per cell]
Pt1 0.0000 0.0000 0.5000 [3 per cell]

=====

[10]
Structure and simulated PXRD pattern of HfZn3Pt4 (the GGA-PBE geometry in Alexandria; copper Kα).

Main lines, low angle first (5° ≤ 2θ ≤ 70°):
Position (°2θ)  I/Imax  h k l
27.1  15  2 0 1
38.0  10  1 2 1
38.2  19  0 0 2
39.2  35  4 0 0
39.5  12  1 0 2
41.7  100  2 2 1
43.1  8  2 0 2
48.7  7  3 0 2
55.8  13  4 0 2
64.9  8  0 4 0

Cell and atoms:
Cell: 9.2032 5.7466 4.7130 Å, 90.00 90.00 90.00°
Space group Pmma (No. 51)
Inequivalent atoms, fractional coordinates:
Hf1 0.0000 0.0000 0.0000 [2 per cell]
Zn1 0.0000 0.5000 0.0000 [2 per cell]
Zn2 0.2500 0.0000 0.4154 [2 per cell]
Zn3 0.2500 0.5000 0.4027 [2 per cell]
Pt1 0.0000 0.2567 0.5000 [4 per cell]
Pt2 0.2500 0.2577 0.9032 [4 per cell]

=====

[11]
Structure and simulated PXRD pattern of HfZr5Pt6 (the GGA-PBE geometry in Alexandria; copper Kα).

Main lines, low angle first (5° ≤ 2θ ≤ 70°):
Position (°2θ)  I/Imax  h k l
26.1  38  1 0 1
35.5  82  1 -2 2
36.2  100  -1 2 1
36.3  73  2 0 -1
38.9  83  1 2 0
39.5  27  2 0 -2
40.3  85  0 0 3
40.5  76  1 2 -3
43.3  26  1 -3 2
53.7  20  0 4 -2

Cell and atoms:
Cell: 5.0146 6.8972 7.6533 Å, 113.31 102.26 98.35°
Space group P-1 (No. 2)
Inequivalent atoms, fractional coordinates:
Hf1 0.0000 0.0000 0.0000 [1 per cell]
Zr1 0.0000 0.5000 0.0000 [1 per cell]
Zr2 0.2519 0.7726 0.6128 [2 per cell]
Zr3 0.3420 0.3109 0.7045 [2 per cell]
Pt1 0.2328 0.9364 0.3326 [2 per cell]
Pt2 0.2560 0.3730 0.3288 [2 per cell]
Pt3 0.4524 0.7806 0.9851 [2 per cell]

=====

[12]
Structure and simulated PXRD pattern of Hf2ZrPt (the GGA-PBE geometry in Alexandria; copper Kα).

Main lines, low angle first (5° ≤ 2θ ≤ 70°):
Position (°2θ)  I/Imax  h k l
34.8  52  0 2 1
35.9  59  2 0 0
37.2  94  1 0 2
39.4  100  1 2 1
50.9  36  2 2 1
59.4  16  0 2 3
62.5  11  1 2 3
64.0  11  0 4 0
65.4  18  3 0 2
66.9  21  3 2 1

Cell and atoms:
Cell: 5.0000 5.8214 5.5199 Å, 90.00 90.00 90.00°
Space group Pmmn (No. 59, origin choice 2)
Inequivalent atoms, fractional coordinates:
Hf1 0.2500 0.0010 0.1270 [4 per cell]
Zr1 0.2500 0.7500 0.6073 [2 per cell]
Pt1 0.2500 0.2500 0.6681 [2 per cell]

=====

[13]
Structure and simulated PXRD pattern of Hf3Zr3Pt4 (the GGA-PBE geometry in Alexandria; copper Kα).

Main lines, low angle first (5° ≤ 2θ ≤ 70°):
Position (°2θ)  I/Imax  h k l
21.2  81  0 1 0
34.5  33  2 1 0
35.1  80  1 1 -2
35.7  85  1 1 2
36.4  76  2 1 -1
37.0  88  2 1 1
39.3  43  1 0 -3
40.0  39  1 0 3
42.4  33  3 0 -1
43.1  100  0 2 0

Cell and atoms:
Cell: 6.6378 4.1936 7.2578 Å, 90.00 91.61 90.00°
Space group Pm (No. 6)
Inequivalent atoms, fractional coordinates:
Hf1 0.0000 0.0000 0.0000 [1 per cell]
Hf2 0.1752 0.5000 0.6678 [1 per cell]
Hf3 0.5077 0.0000 0.4992 [1 per cell]
Zr1 0.3304 0.5000 0.1674 [1 per cell]
Zr2 0.6715 0.5000 0.8265 [1 per cell]
Zr3 0.8311 0.5000 0.3264 [1 per cell]
Pt1 0.1375 0.0000 0.3584 [1 per cell]
Pt2 0.3627 0.0000 0.8513 [1 per cell]
Pt3 0.6325 0.0000 0.1390 [1 per cell]
Pt4 0.8817 0.0000 0.6416 [1 per cell]

=====

[14]
Structure and simulated PXRD pattern of Pu6Hf (the GGA-PBE geometry in Alexandria; copper Kα).

Main lines, low angle first (5° ≤ 2θ ≤ 70°):
Position (°2θ)  I/Imax  h k l
18.9  39  1 1 0
26.8  42  2 0 0
33.0  100  2 1 1
38.3  7  2 2 0
43.0  10  3 1 0
47.3  46  2 2 2
51.4  59  3 2 1
55.2  36  4 0 0
62.4  17  4 2 0
65.9  14  3 3 2

Cell and atoms:
Cell: 6.6515 6.6515 6.6515 Å, 90.00 90.00 90.00°
Space group Im-3m (No. 229)
Inequivalent atoms, fractional coordinates:
Pu1 0.0000 0.2500 0.5000 [12 per cell]
Hf1 0.0000 0.0000 0.0000 [2 per cell]